# 1
Na2Np2US6: computed PXRD pattern (Cu Kα X-rays), based on DFT lattice parameters and positions (GGA-PBE).
Lines closer than 0.1° are merged.

a = 6.945 Å, b = 11.999 Å, c = 7.078 Å
α = 90.00°, β = 108.97°, γ = 90.00°
Space group C2/m (No. 12)
One atom of each set of equivalent atoms:
Na 0.000 0.168 0.000 x4
Np 0.000 0.335 0.500 x4
U 0.000 0.000 0.500 x2
S 0.235 0.167 0.719 x8
S 0.248 0.500 0.721 x4

Most intense lines, 15° ≤ 2θ ≤ 90°, by angle:
2θ/deg  d_spacing  intensity
26.1  3.418  709
26.6  3.347  170
27.2  3.278  462
31.3  2.854  1000
34.2  2.625  305
40.8  2.211  200
44.6  2.032  240
45.3  2.002  362
47.4  1.919  229
56.2  1.638  126


# 2
Na2Np2VS6: computed PXRD pattern (Cu Kα X-rays), based on DFT lattice parameters and positions (GGA-PBE).
Lines closer than 0.1° are merged.

a = 6.638 Å, b = 11.356 Å, c = 7.122 Å
α = 90.00°, β = 107.92°, γ = 90.00°
Space group C2/m (No. 12)
One atom of each set of equivalent atoms:
Na 0.000 0.169 0.000 x4
Np 0.000 0.335 0.500 x4
V 0.000 0.000 0.500 x2
S 0.228 0.158 0.714 x8
S 0.235 0.000 0.286 x4

Most intense lines, 15° ≤ 2θ ≤ 90°, by angle:
2θ/deg  d_spacing  intensity
17.8  4.986  262
27.2  3.274  248
27.5  3.247  505
28.5  3.127  296
32.3  2.775  464
32.4  2.762  1000
41.4  2.180  394
45.1  2.009  335
47.6  1.910  317
49.6  1.838  257


# 3
Na3ZrNp3S8: computed PXRD pattern (Cu Kα X-rays), based on DFT lattice parameters and positions (GGA-PBE).
Lines closer than 0.1° are merged.

a = 7.8774 Å, b = 7.8774 Å, c = 20.2096 Å
α = 90.00°, β = 90.00°, γ = 120.00°
Space group R-3m (No. 166, hexagonal axes)
One atom of each set of equivalent atoms:
Na 0.0000 0.5000 0.0000 x9
Zr 0.0000 0.0000 0.5000 x3
Np 0.0000 0.5000 0.5000 x9
S 0.0000 0.0000 0.2426 x6
S 0.0142 0.5071 0.2394 x18

Most intense lines, 15° ≤ 2θ ≤ 90°, by angle:
2θ/deg  d_spacing  intensity
26.5  3.364  752
27.6  3.232  389
31.6  2.827  1000
34.4  2.607  256
41.0  2.204  269
44.6  2.030  365
46.1  1.969  349
48.1  1.890  293
53.9  1.700  237
57.0  1.617  298


# 4
NaNp2Sb4: computed PXRD pattern (Cu Kα X-rays), based on DFT lattice parameters and positions (GGA-PBE).
Lines closer than 0.1° are merged.

a = 4.237 Å, b = 4.237 Å, c = 11.714 Å
α = 90.00°, β = 90.00°, γ = 90.00°
Space group P-4m2 (No. 115)
One atom of each set of equivalent atoms:
Na 0.000 0.000 0.000 x1
Np 0.000 0.500 0.709 x2
Sb 0.000 0.000 0.500 x1
Sb 0.000 0.500 0.211 x2
Sb 0.500 0.500 0.500 x1

Most intense lines, 15° ≤ 2θ ≤ 90°, by angle:
2θ/deg  d_spacing  intensity
15.1  5.857  258
26.0  3.433  287
29.8  2.996  166
30.5  2.928  170
33.6  2.667  1000
37.3  2.409  343
42.7  2.118  313
51.5  1.773  191
58.0  1.591  194
72.3  1.306  217


# 5
Na3NpSb2Se6: computed PXRD pattern (Cu Kα X-rays), based on DFT lattice parameters and positions (GGA-PBE).
Lines closer than 0.1° are merged.

a = 7.268 Å, b = 12.590 Å, c = 7.426 Å
α = 90.00°, β = 108.97°, γ = 90.00°
Space group C2/m (No. 12)
One atom of each set of equivalent atoms:
Na 0.000 0.000 0.000 x2
Na 0.000 0.330 0.000 x4
Np 0.000 0.500 0.500 x2
Sb 0.000 0.166 0.500 x4
Se 0.243 0.000 0.733 x4
Se 0.244 0.333 0.732 x8

Most intense lines, 15° ≤ 2θ ≤ 90°, by angle:
2θ/deg  d_spacing  intensity
24.9  3.581  219
29.9  2.991  1000
38.8  2.318  137
42.4  2.132  370
43.1  2.098  367
45.1  2.010  128
53.3  1.718  193
69.9  1.346  157
70.9  1.329  163
78.5  1.218  119


# 6
NaNp4Se8: computed PXRD pattern (Cu Kα X-rays), based on DFT lattice parameters and positions (GGA-PBE).
Lines closer than 0.1° are merged.

a = 14.362 Å, b = 8.305 Å, c = 10.108 Å
α = 90.00°, β = 134.64°, γ = 90.00°
Space group C2/m (No. 12)
One atom of each set of equivalent atoms:
Na 0.000 0.000 0.000 x2
Np 0.000 0.253 0.500 x4
Np 0.238 0.500 0.478 x4
Se 0.012 0.000 0.703 x4
Se 0.028 0.500 0.718 x4
Se 0.228 0.238 0.288 x8

Most intense lines, 15° ≤ 2θ ≤ 90°, by angle:
2θ/deg  d_spacing  intensity
24.8  3.594  454
27.6  3.226  523
27.8  3.208  1000
35.2  2.553  570
35.4  2.535  608
43.6  2.075  592
45.4  1.999  471
45.6  1.988  211
52.4  1.746  170
57.2  1.611  250


# 7
Na3NpSn2Se6: computed PXRD pattern (Cu Kα X-rays), based on DFT lattice parameters and positions (GGA-PBE).
Lines closer than 0.1° are merged.

a = 7.387 Å, b = 12.802 Å, c = 7.275 Å
α = 90.00°, β = 109.92°, γ = 90.00°
Space group C2/m (No. 12)
One atom of each set of equivalent atoms:
Na 0.000 0.000 0.000 x2
Na 0.000 0.327 0.000 x4
Np 0.000 0.500 0.500 x2
Sn 0.000 0.166 0.500 x4
Se 0.233 0.343 0.730 x8
Se 0.236 0.500 0.272 x4

Most intense lines, 15° ≤ 2θ ≤ 90°, by angle:
2θ/deg  d_spacing  intensity
24.5  3.636  226
29.8  2.998  1000
39.2  2.296  138
42.4  2.133  376
42.9  2.107  354
44.5  2.036  142
52.7  1.738  193
61.9  1.499  114
69.8  1.347  159
70.6  1.335  97


# 8
Na3Np2TiSe6: computed PXRD pattern (Cu Kα X-rays), based on DFT lattice parameters and positions (GGA-PBE).
Lines closer than 0.1° are merged.

a = 6.981 Å, b = 12.098 Å, c = 7.417 Å
α = 90.00°, β = 108.38°, γ = 90.00°
Space group C2/m (No. 12)
One atom of each set of equivalent atoms:
Na 0.000 0.000 0.000 x2
Na 0.000 0.330 0.000 x4
Np 0.000 0.166 0.500 x4
Ti 0.000 0.500 0.500 x2
Se 0.233 0.343 0.726 x8
Se 0.239 0.500 0.275 x4

Most intense lines, 15° ≤ 2θ ≤ 90°, by angle:
2θ/deg  d_spacing  intensity
25.9  3.445  229
30.7  2.912  1000
39.5  2.283  176
43.0  2.106  365
45.0  2.016  336
46.9  1.938  144
55.4  1.657  180
63.9  1.456  107
71.1  1.326  96
74.1  1.280  142


# 9
NaNp3Tl4Se8: computed PXRD pattern (Cu Kα X-rays), based on DFT lattice parameters and positions (GGA-PBE).
Lines closer than 0.1° are merged.

a = 8.4491 Å, b = 8.4491 Å, c = 23.0626 Å
α = 90.00°, β = 90.00°, γ = 120.00°
Space group R-3m (No. 166, hexagonal axes)
One atom of each set of equivalent atoms:
Na 0.0000 0.0000 0.0000 x3
Np 0.0000 0.5000 0.0000 x9
Tl 0.0000 0.0000 0.5000 x3
Tl 0.0000 0.5000 0.5000 x9
Se 0.0000 0.0000 0.2655 x6
Se 0.0174 0.5087 0.2659 x18

Most intense lines, 15° ≤ 2θ ≤ 90°, by angle:
2θ/deg  d_spacing  intensity
23.1  3.844  124
25.5  3.487  240
28.9  3.089  1000
39.8  2.264  372
42.8  2.112  361
52.5  1.744  190
59.9  1.545  112
65.7  1.422  138
70.0  1.345  160
76.4  1.247  111


# 10
Na2Np2VSe6: computed PXRD pattern (Cu Kα X-rays), based on DFT lattice parameters and positions (GGA-PBE).
Lines closer than 0.1° are merged.

a = 6.913 Å, b = 11.854 Å, c = 7.480 Å
α = 90.00°, β = 108.17°, γ = 90.00°
Space group C2/m (No. 12)
One atom of each set of equivalent atoms:
Na 0.000 0.171 0.000 x4
Np 0.000 0.334 0.500 x4
V 0.000 0.000 0.500 x2
Se 0.232 0.156 0.720 x8
Se 0.235 0.000 0.281 x4

Most intense lines, 15° ≤ 2θ ≤ 90°, by angle:
2θ/deg  d_spacing  intensity
26.3  3.386  283
30.8  2.905  503
31.0  2.882  1000
39.6  2.275  227
42.9  2.107  558
45.6  1.991  343
45.9  1.976  167
47.4  1.917  183
54.3  1.689  177
56.3  1.634  173


# 11
NaSmNp2Te4: computed PXRD pattern (Cu Kα X-rays), based on DFT lattice parameters and positions (GGA-PBE).
Lines closer than 0.1° are merged.

a = 7.695 Å, b = 4.421 Å, c = 7.787 Å
α = 90.00°, β = 109.35°, γ = 90.00°
Space group P2/m (No. 10)
One atom of each set of equivalent atoms:
Na 0.000 0.000 0.000 x1
Sm 0.000 0.500 0.500 x1
Np 0.500 0.000 0.500 x1
Np 0.500 0.500 0.000 x1
Te 0.252 0.000 0.752 x2
Te 0.252 0.500 0.253 x2

Most intense lines, 15° ≤ 2θ ≤ 90°, by angle:
2θ/deg  d_spacing  intensity
23.5  3.786  124
28.3  3.158  505
28.4  3.145  1000
40.3  2.238  588
40.7  2.219  382
40.8  2.210  189
50.4  1.811  207
58.7  1.573  131
66.1  1.413  182
73.8  1.285  133


# 12
NaNpSnTe3: computed PXRD pattern (Cu Kα X-rays), based on DFT lattice parameters and positions (GGA-PBE).
Lines closer than 0.1° are merged.

a = 9.208 Å, b = 4.373 Å, c = 10.398 Å
α = 90.00°, β = 116.07°, γ = 90.00°
Space group P2_1/m (No. 11)
One atom of each set of equivalent atoms:
Na 0.037 0.250 0.320 x2
Np 0.496 0.750 0.699 x2
Sn 0.355 0.750 0.963 x2
Te 0.172 0.250 0.016 x2
Te 0.246 0.250 0.675 x2
Te 0.307 0.750 0.364 x2

Most intense lines, 15° ≤ 2θ ≤ 90°, by angle:
2θ/deg  d_spacing  intensity
23.0  3.864  209
28.1  3.171  179
28.7  3.113  565
29.8  3.001  1000
34.2  2.624  835
39.1  2.302  224
40.8  2.210  151
41.3  2.187  282
49.3  1.848  164
51.0  1.789  230


# 13
Na3Tb3NpTe8: computed PXRD pattern (Cu Kα X-rays), based on DFT lattice parameters and positions (GGA-PBE).
Lines closer than 0.1° are merged.

a = 8.8513 Å, b = 8.8513 Å, c = 22.7915 Å
α = 90.00°, β = 90.00°, γ = 120.00°
Space group R-3m (No. 166, hexagonal axes)
One atom of each set of equivalent atoms:
Na 0.0000 0.5000 0.0000 x9
Tb 0.0000 0.5000 0.5000 x9
Np 0.0000 0.0000 0.5000 x3
Te 0.0000 0.0000 0.2446 x6
Te 0.0013 0.5006 0.2434 x18

Most intense lines, 15° ≤ 2θ ≤ 90°, by angle:
2θ/deg  d_spacing  intensity
23.5  3.780  172
28.1  3.180  1000
36.2  2.481  134
39.4  2.286  385
40.8  2.213  371
50.2  1.816  200
58.0  1.590  124
64.7  1.441  165
66.6  1.404  170
73.3  1.291  122